No. 1
For MgNiS, a structure optimized by DFT (PBE) gives the simulated powder diffractogram in this record (Cu Ka).

Structural model:
Cell: 8.8401 8.8401 8.8401 Å, 23.59 23.59 23.59°
Positions (direct):
Mg (0.0000, 0.0000, 0.0000)
Mg (0.2149, 0.2149, 0.2149)
Ni (0.1128, 0.1128, 0.1128)
Ni (0.4016, 0.4016, 0.4016)
S (0.6021, 0.6021, 0.6021)
S (0.8120, 0.8120, 0.8120)

Peak list (10 most intense, 10 to 90 degrees two-theta, by intensity)
10.3 deg, 8.590 Å, rel. 100; 45.6 deg, 1.989 Å, rel. 59; 50.5 deg, 1.807 Å, rel. 49; 33.5 deg, 2.675 Å, rel. 38; 37.7 deg, 2.384 Å, rel. 32; 31.8 deg, 2.815 Å, rel. 32; 20.7 deg, 4.295 Å, rel. 21; 70.4 deg, 1.337 Å, rel. 15; 28.7 deg, 3.107 Å, rel. 13; 51.7 deg, 1.768 Å, rel. 11


No. 2
For KCdC3N3O3, a structure optimized by DFT (PBE) gives the simulated powder diffractogram in this record (Cu Ka).

Structural model:
Cell: 10.2349 3.7764 18.5501 Å, 90.00 90.00 90.00°
Positions (direct):
K (0.0713, 0.2500, 0.1649)
K (0.4287, 0.7500, 0.6649)
K (0.5713, 0.2500, 0.3351)
K (0.9287, 0.7500, 0.8351)
Cd (0.1386, 0.2500, 0.5432)
Cd (0.3614, 0.7500, 0.0432)
Cd (0.6386, 0.2500, 0.9568)
Cd (0.8614, 0.7500, 0.4568)
C (0.0816, 0.2500, 0.3762)
C (0.1394, 0.2500, 0.9698)
C (0.1483, 0.2500, 0.7116)
C (0.3517, 0.7500, 0.2116)
C (0.3606, 0.7500, 0.4698)
C (0.4184, 0.7500, 0.8762)
C (0.5816, 0.2500, 0.1238)
C (0.6394, 0.2500, 0.5302)
C (0.6483, 0.2500, 0.7884)
C (0.8517, 0.7500, 0.2884)
C (0.8606, 0.7500, 0.0302)
C (0.9184, 0.7500, 0.6238)
N (0.0220, 0.2500, 0.4331)
N (0.2147, 0.2500, 0.6579)
N (0.2346, 0.2500, 0.0083)
N (0.2654, 0.7500, 0.5083)
N (0.2853, 0.7500, 0.1579)
N (0.4780, 0.7500, 0.9331)
N (0.5220, 0.2500, 0.0669)
N (0.7147, 0.2500, 0.8421)
N (0.7346, 0.2500, 0.4917)
N (0.7654, 0.7500, 0.9917)
N (0.7853, 0.7500, 0.3421)
N (0.9780, 0.7500, 0.5669)
O (0.0438, 0.2500, 0.9318)
O (0.0844, 0.2500, 0.7664)
O (0.1389, 0.2500, 0.3200)
O (0.3611, 0.7500, 0.8200)
O (0.4156, 0.7500, 0.2664)
O (0.4562, 0.7500, 0.4318)
O (0.5438, 0.2500, 0.5682)
O (0.5844, 0.2500, 0.7336)
O (0.6389, 0.2500, 0.1800)
O (0.8611, 0.7500, 0.6800)
O (0.9156, 0.7500, 0.2336)
O (0.9562, 0.7500, 0.0682)

Peak list (10 most intense, 10 to 90 degrees two-theta, by intensity)
29.4 deg, 3.039 Å, rel. 100; 29.7 deg, 3.003 Å, rel. 62; 33.9 deg, 2.647 Å, rel. 42; 12.9 deg, 6.873 Å, rel. 38; 25.6 deg, 3.480 Å, rel. 25; 16.8 deg, 5.292 Å, rel. 24; 26.6 deg, 3.355 Å, rel. 23; 49.6 deg, 1.840 Å, rel. 20; 40.6 deg, 2.222 Å, rel. 19; 22.6 deg, 3.942 Å, rel. 16


No. 3
For Ca5Pm3S8, a structure optimized by DFT (PBE) gives the simulated powder diffractogram in this record (Cu Ka).

Structural model:
Cell: 8.0825 8.0825 8.0825 Å, 59.66 59.66 59.66°
Positions (direct):
Ca (0.0000, 0.0000, 0.0000)
Ca (0.0000, 0.5000, 0.5000)
Ca (0.5000, 0.0000, 0.5000)
Ca (0.5000, 0.5000, 0.0000)
Ca (0.5000, 0.5000, 0.5000)
Pm (0.0000, 0.0000, 0.5000)
Pm (0.0000, 0.5000, 0.0000)
Pm (0.5000, 0.0000, 0.0000)
S (0.2500, 0.2500, 0.7485)
S (0.2500, 0.7485, 0.2500)
S (0.2514, 0.2514, 0.2514)
S (0.2515, 0.7500, 0.7500)
S (0.7485, 0.2500, 0.2500)
S (0.7486, 0.7486, 0.7486)
S (0.7500, 0.2515, 0.7500)
S (0.7500, 0.7500, 0.2515)

Peak list (10 most intense, 10 to 90 degrees two-theta, by intensity)
31.4 deg, 2.850 Å, rel. 100; 13.4 deg, 6.605 Å, rel. 36; 44.9 deg, 2.021 Å, rel. 35; 45.1 deg, 2.010 Å, rel. 35; 27.1 deg, 3.285 Å, rel. 25; 26.0 deg, 3.429 Å, rel. 18; 56.0 deg, 1.643 Å, rel. 18; 74.3 deg, 1.277 Å, rel. 15; 74.6 deg, 1.272 Å, rel. 15; 83.1 deg, 1.163 Å, rel. 11


No. 4
For Li5YPd6, a structure optimized by DFT (PBE) gives the simulated powder diffractogram in this record (Cu Ka).

Structural model:
Cell: 4.1776 6.9231 6.5976 Å, 90.00 108.58 90.00°
Positions (direct):
Li (0.0000, 0.0000, 0.0000)
Li (0.3195, 0.5000, 0.6397)
Li (0.3333, 0.0000, 0.6654)
Li (0.6667, 0.0000, 0.3346)
Li (0.6805, 0.5000, 0.3603)
Y (0.0000, 0.5000, 0.0000)
Pd (0.1703, 0.2329, 0.3414)
Pd (0.1703, 0.7671, 0.3414)
Pd (0.5000, 0.2243, 0.0000)
Pd (0.5000, 0.7757, 0.0000)
Pd (0.8297, 0.2329, 0.6586)
Pd (0.8297, 0.7671, 0.6586)

Peak list (10 most intense, 10 to 90 degrees two-theta, by intensity)
40.2 deg, 2.246 Å, rel. 100; 30.3 deg, 2.951 Å, rel. 56; 43.4 deg, 2.087 Å, rel. 42; 25.7 deg, 3.462 Å, rel. 39; 51.1 deg, 1.787 Å, rel. 23; 70.7 deg, 1.332 Å, rel. 15; 77.4 deg, 1.233 Å, rel. 14; 62.2 deg, 1.493 Å, rel. 10; 52.9 deg, 1.731 Å, rel. 9; 33.0 deg, 2.715 Å, rel. 9


No. 5
For Li8PmZn4, a structure optimized by DFT (PBE) gives the simulated powder diffractogram in this record (Cu Ka).

Structural model:
Cell: 7.1259 7.1259 7.1259 Å, 97.86 97.86 136.60°
Positions (direct):
Li (0.0000, 0.2222, 0.2222)
Li (0.0000, 0.7778, 0.7778)
Li (0.1513, 0.5000, 0.6513)
Li (0.2222, 0.0000, 0.2222)
Li (0.5000, 0.1513, 0.6513)
Li (0.5000, 0.8487, 0.3487)
Li (0.7778, 0.0000, 0.7778)
Li (0.8487, 0.5000, 0.3487)
Pm (0.5000, 0.5000, 0.0000)
Zn (0.0000, 0.0000, 0.5000)
Zn (0.0000, 0.5000, 0.0000)
Zn (0.5000, 0.0000, 0.0000)
Zn (0.5000, 0.5000, 0.5000)

Peak list (10 most intense, 10 to 90 degrees two-theta, by intensity)
26.9 deg, 3.310 Å, rel. 100; 39.2 deg, 2.296 Å, rel. 86; 13.4 deg, 6.621 Å, rel. 58; 56.1 deg, 1.639 Å, rel. 53; 19.3 deg, 4.592 Å, rel. 52; 27.2 deg, 3.278 Å, rel. 50; 38.5 deg, 2.341 Å, rel. 48; 38.7 deg, 2.329 Å, rel. 26; 19.0 deg, 4.682 Å, rel. 25; 30.2 deg, 2.961 Å, rel. 19


No. 6
For La6NdTm12, a structure optimized by DFT (PBE) gives the simulated powder diffractogram in this record (Cu Ka).

Structural model:
Cell: 8.7543 8.7543 8.7543 Å, 98.72 98.72 98.72°
Positions (direct):
La (0.1521, 0.5983, 0.5983)
La (0.4017, 0.4017, 0.8479)
La (0.4017, 0.8479, 0.4017)
La (0.5983, 0.1521, 0.5983)
La (0.5983, 0.5983, 0.1521)
La (0.8479, 0.4017, 0.4017)
Nd (0.5000, 0.5000, 0.5000)
Tm (0.0000, 0.2531, 0.7469)
Tm (0.0000, 0.7469, 0.2531)
Tm (0.1453, 0.1453, 0.4208)
Tm (0.1453, 0.4208, 0.1453)
Tm (0.2531, 0.0000, 0.7469)
Tm (0.2531, 0.7469, 0.0000)
Tm (0.4208, 0.1453, 0.1453)
Tm (0.5792, 0.8547, 0.8547)
Tm (0.7469, 0.0000, 0.2531)
Tm (0.7469, 0.2531, 0.0000)
Tm (0.8547, 0.5792, 0.8547)
Tm (0.8547, 0.8547, 0.5792)

Peak list (10 most intense, 10 to 90 degrees two-theta, by intensity)
31.9 deg, 2.805 Å, rel. 100; 31.5 deg, 2.838 Å, rel. 59; 31.4 deg, 2.849 Å, rel. 52; 29.3 deg, 3.051 Å, rel. 49; 34.2 deg, 2.619 Å, rel. 42; 55.3 deg, 1.661 Å, rel. 26; 56.7 deg, 1.624 Å, rel. 26; 28.9 deg, 3.094 Å, rel. 25; 34.4 deg, 2.610 Å, rel. 23; 34.7 deg, 2.584 Å, rel. 19


No. 7
For Cs3BaCd, a structure optimized by DFT (PBE) gives the simulated powder diffractogram in this record (Cu Ka).

Structural model:
Cell: 7.5589 7.5589 7.5589 Å, 90.00 90.00 90.00°
Positions (direct):
Cs (0.0000, 0.0000, 0.5000)
Cs (0.0000, 0.5000, 0.0000)
Cs (0.5000, 0.0000, 0.0000)
Ba (0.5000, 0.5000, 0.5000)
Cd (0.0000, 0.0000, 0.0000)

Peak list (10 most intense, 10 to 90 degrees two-theta, by intensity)
23.5 deg, 3.779 Å, rel. 100; 33.5 deg, 2.672 Å, rel. 80; 20.3 deg, 4.364 Å, rel. 77; 39.5 deg, 2.279 Å, rel. 41; 54.3 deg, 1.690 Å, rel. 40; 41.4 deg, 2.182 Å, rel. 30; 60.0 deg, 1.543 Å, rel. 29; 75.5 deg, 1.260 Å, rel. 19; 52.8 deg, 1.734 Å, rel. 18; 11.7 deg, 7.559 Å, rel. 16


No. 8
For Te2MoW2Se2S2, a structure optimized by DFT (PBE) gives the simulated powder diffractogram in this record (Cu Ka).

Structural model:
Cell: 3.3442 3.3442 25.9648 Å, 90.00 90.00 120.00°
Positions (direct):
Te (0.0000, 0.0000, 0.0000)
Te (0.0000, 0.0000, 0.1461)
Mo (0.3333, 0.6667, 0.0731)
W (0.0000, 0.0000, 0.3633)
W (0.0000, 0.0000, 0.7910)
Se (0.3333, 0.6667, 0.2988)
Se (0.3333, 0.6667, 0.4278)
S (0.3333, 0.6667, 0.7325)
S (0.3333, 0.6667, 0.8496)

Peak list (10 most intense, 10 to 90 degrees two-theta, by intensity)
10.2 deg, 8.655 Å, rel. 100; 35.5 deg, 2.529 Å, rel. 62; 44.3 deg, 2.044 Å, rel. 38; 30.9 deg, 2.896 Å, rel. 35; 37.4 deg, 2.407 Å, rel. 22; 54.9 deg, 1.672 Å, rel. 21; 41.8 deg, 2.161 Å, rel. 19; 13.6 deg, 6.491 Å, rel. 19; 17.1 deg, 5.193 Å, rel. 17; 76.7 deg, 1.242 Å, rel. 13


No. 9
For Mg6GaW, a structure optimized by DFT (PBE) gives the simulated powder diffractogram in this record (Cu Ka).

Structural model:
Cell: 4.9519 6.1097 6.1097 Å, 57.12 90.00 90.00°
Positions (direct):
Mg (0.0000, 0.0000, 0.0000)
Mg (0.0000, 0.0193, 0.4980)
Mg (0.0000, 0.4980, 0.0193)
Mg (0.0000, 0.4985, 0.4985)
Mg (0.5000, 0.3492, 0.8474)
Mg (0.5000, 0.8474, 0.3492)
Ga (0.5000, 0.8456, 0.8456)
W (0.5000, 0.3496, 0.3496)

Peak list (10 most intense, 10 to 90 degrees two-theta, by intensity)
39.6 deg, 2.278 Å, rel. 100; 16.5 deg, 5.366 Å, rel. 73; 38.1 deg, 2.359 Å, rel. 65; 17.9 deg, 4.952 Å, rel. 58; 24.5 deg, 3.639 Å, rel. 53; 35.0 deg, 2.566 Å, rel. 44; 36.3 deg, 2.476 Å, rel. 42; 17.3 deg, 5.131 Å, rel. 37; 51.3 deg, 1.782 Å, rel. 30; 25.0 deg, 3.563 Å, rel. 28


No. 10
For TbAlGa2Cu4, a structure optimized by DFT (PBE) gives the simulated powder diffractogram in this record (Cu Ka).

Structural model:
Cell: 8.6982 8.6982 8.6982 Å, 27.76 27.76 27.76°
Positions (direct):
Tb (0.0000, 0.0000, 0.0000)
Al (0.5000, 0.5000, 0.5000)
Ga (0.2488, 0.2488, 0.2488)
Ga (0.7512, 0.7512, 0.7512)
Cu (0.1316, 0.1316, 0.1316)
Cu (0.4029, 0.4029, 0.4029)
Cu (0.5971, 0.5971, 0.5971)
Cu (0.8684, 0.8684, 0.8684)

Peak list (10 most intense, 10 to 90 degrees two-theta, by intensity)
43.4 deg, 2.087 Å, rel. 100; 38.0 deg, 2.368 Å, rel. 87; 35.3 deg, 2.544 Å, rel. 42; 30.5 deg, 2.932 Å, rel. 26; 59.0 deg, 1.565 Å, rel. 23; 76.0 deg, 1.252 Å, rel. 21; 72.5 deg, 1.305 Å, rel. 15; 79.6 deg, 1.205 Å, rel. 15; 24.9 deg, 3.577 Å, rel. 14; 63.0 deg, 1.476 Å, rel. 13


No. 11
For La2CdIn3Hg6, a structure optimized by DFT (PBE) gives the simulated powder diffractogram in this record (Cu Ka).

Structural model:
Cell: 4.7100 4.7100 18.4100 Å, 90.00 90.00 90.00°
Positions (direct):
La (0.0000, 0.0000, 0.2262)
La (0.0000, 0.0000, 0.7738)
Cd (0.0000, 0.0000, 0.0000)
In (0.5000, 0.5000, 0.1961)
In (0.5000, 0.5000, 0.5000)
In (0.5000, 0.5000, 0.8039)
Hg (0.0000, 0.5000, 0.0934)
Hg (0.0000, 0.5000, 0.9066)
Hg (0.5000, 0.0000, 0.0934)
Hg (0.5000, 0.0000, 0.9066)
Hg (0.5000, 0.5000, 0.3486)
Hg (0.5000, 0.5000, 0.6514)

Peak list (10 most intense, 10 to 90 degrees two-theta, by intensity)
38.2 deg, 2.355 Å, rel. 100; 36.4 deg, 2.470 Å, rel. 85; 27.2 deg, 3.277 Å, rel. 78; 40.0 deg, 2.257 Å, rel. 73; 19.5 deg, 4.563 Å, rel. 53; 28.5 deg, 3.132 Å, rel. 49; 33.2 deg, 2.698 Å, rel. 44; 55.2 deg, 1.665 Å, rel. 35; 52.1 deg, 1.754 Å, rel. 33; 27.1 deg, 3.292 Å, rel. 31


No. 12
For LiSm2Ge4Ir3, a structure optimized by DFT (PBE) gives the simulated powder diffractogram in this record (Cu Ka).

Structural model:
Cell: 4.3027 4.3027 10.0397 Å, 90.00 90.00 90.00°
Positions (direct):
Li (0.0000, 0.0000, 0.0000)
Sm (0.0000, 0.5000, 0.7434)
Sm (0.5000, 0.0000, 0.2566)
Ge (0.0000, 0.0000, 0.5000)
Ge (0.0000, 0.5000, 0.1300)
Ge (0.5000, 0.0000, 0.8700)
Ge (0.5000, 0.5000, 0.5000)
Ir (0.0000, 0.5000, 0.3734)
Ir (0.5000, 0.0000, 0.6266)
Ir (0.5000, 0.5000, 0.0000)

Peak list (10 most intense, 10 to 90 degrees two-theta, by intensity)
33.9 deg, 2.642 Å, rel. 100; 34.5 deg, 2.602 Å, rel. 91; 42.0 deg, 2.151 Å, rel. 84; 55.1 deg, 1.668 Å, rel. 51; 50.1 deg, 1.820 Å, rel. 38; 29.4 deg, 3.043 Å, rel. 37; 67.4 deg, 1.389 Å, rel. 31; 46.9 deg, 1.936 Å, rel. 29; 27.3 deg, 3.267 Å, rel. 28; 60.9 deg, 1.521 Å, rel. 28